This entry pairs a crystal structure of Tb5URu6 with its computed powder diffractogram. Radiation: copper Kα. Structure: a PBE-relaxed structure.
Intensities are scaled so that the largest is 100.

Most intense lines, 2θ from 10° to 90°, by intensity:
| two_theta | Rel. int. |
| --- | --- |
| 37.18 | 100 |
| 36.61 | 28 |
| 38.15 | 22 |
| 66.29 | 18 |
| 53.91 | 16 |
| 68.31 | 14 |
| 79.23 | 9 |
| 66.39 | 9 |
| 53.29 | 8 |
| 26.20 | 8 |
| 67.41 | 7 |
| 25.91 | 4 |

Atomic structure:
```
Tb5URu6
1.0
-2.454 3.438 7.077
2.454 -3.438 7.077
2.454 3.438 -7.077
Tb U Ru
5 1 6
Direct
0.000 0.000 0.000
0.163 0.663 0.500
0.324 0.324 0.000
0.676 0.676 0.000
0.837 0.337 0.500
0.500 0.000 0.500
0.122 0.849 0.274
0.273 0.500 0.773
0.425 0.151 0.274
0.575 0.849 0.726
0.727 0.500 0.227
0.878 0.151 0.726
```